1.
Structure and computed X-ray powder pattern of AcHg7 (a crystal structure in Alexandria, relaxed with GGA-PBE; Cu Kα (λ = 1.5418 Å)).
Lines closer than 0.1° are merged.

Most intense lines, 10 to 90 degrees two-theta, sorted by position:
two_theta, d (Å), I/Imax, index
33.00, 2.714, 100, 1 1 4
34.32, 2.613, 47, 2 0 0
45.36, 1.999, 9, 0 0 8
49.32, 1.848, 17, 2 2 0
58.09, 1.588, 18, 2 0 8
60.63, 1.527, 36, 3 1 4
69.24, 1.357, 11, 2 2 8
75.88, 1.254, 6, 1 1 12
81.82, 1.177, 8, 3 3 4
82.55, 1.169, 8, 4 2 0

Structure:
```
data_AcHg7
_cell_length_a 5.226
_cell_length_b 5.226
_cell_length_c 15.996
_cell_angle_alpha 90.00
_cell_angle_beta 90.00
_cell_angle_gamma 90.00
_symmetry_space_group_name_H-M 'I 4/m m m'
_symmetry_Int_Tables_number 139
_symmetry_space_group_name_Hall '-I 4 2'
loop_
_atom_site_label
_atom_site_type_symbol
_atom_site_fract_x
_atom_site_fract_y
_atom_site_fract_z
Ac1 Ac 0.000 0.000 0.000
Hg1 Hg 0.000 0.000 0.241
Hg2 Hg 0.000 0.000 0.500
Hg3 Hg 0.000 0.500 0.135
```


2.
Structure and computed X-ray powder pattern of Pm3Al2Pt6 (a crystal structure in Alexandria, relaxed with GGA-PBE; Cu Kα (λ = 1.5418 Å)).
Lines closer than 0.1° are merged.

Most intense lines, 10 to 90 degrees two-theta, sorted by position:
two_theta, d (Å), I/Imax, index
13.03, 6.796, 26, 1 1 0
26.23, 3.398, 18, 2 2 0
29.39, 3.039, 14, 3 1 0
34.93, 2.568, 30, 3 2 1
37.43, 2.403, 10, 4 0 0
39.79, 2.265, 100, 3 3 0
57.54, 1.602, 14, 6 0 0
59.27, 1.559, 16, 5 3 2
72.24, 1.308, 27, 6 3 3
85.79, 1.133, 9, 6 6 0

Structure:
```
data_Pm3Al2Pt6
_cell_length_a 9.610
_cell_length_b 9.610
_cell_length_c 9.610
_cell_angle_alpha 90.00
_cell_angle_beta 90.00
_cell_angle_gamma 90.00
_symmetry_space_group_name_H-M 'I m -3 m'
_symmetry_Int_Tables_number 229
_symmetry_space_group_name_Hall '-I 4 2 3'
loop_
_atom_site_label
_atom_site_type_symbol
_atom_site_fract_x
_atom_site_fract_y
_atom_site_fract_z
Pm1 Pm 0.000 0.000 0.297
Al1 Al 0.250 0.250 0.250
Pt1 Pt 0.000 0.321 0.321
```


3.
Structure and computed X-ray powder pattern of Hf2Be12Ni5 (a crystal structure in Alexandria, relaxed with GGA-PBE; Cu Kα (λ = 1.5418 Å)).
Lines closer than 0.1° are merged.

Most intense lines, 10 to 90 degrees two-theta, sorted by position:
two_theta, d (Å), I/Imax, index
20.68, 4.296, 24, 0 1 2
22.96, 3.873, 100, 1 1 0
27.77, 3.213, 30, 0 2 1
33.36, 2.686, 71, 1 1 3
34.76, 2.581, 34, 1 0 4
40.33, 2.236, 29, 3 0 0
46.92, 1.937, 49, 2 2 0
47.41, 1.918, 33, 3 0 3
48.46, 1.878, 28, 2 1 4
48.92, 1.862, 25, 0 0 6

Structure:
```
data_Hf2Be12Ni5
_cell_length_a 7.7464
_cell_length_b 7.7464
_cell_length_c 11.1847
_cell_angle_alpha 90.00
_cell_angle_beta 90.00
_cell_angle_gamma 120.00
_symmetry_space_group_name_H-M 'R -3 m'
_symmetry_Int_Tables_number 166
_symmetry_space_group_name_Hall '-R 3 2"'
loop_
_atom_site_label
_atom_site_type_symbol
_atom_site_fract_x
_atom_site_fract_y
_atom_site_fract_z
Hf1 Hf 0.0000 0.0000 0.1606
Be1 Be 0.0000 0.2870 0.5000
Be2 Be 0.0000 0.5000 0.3432
Ni1 Ni 0.0000 0.0000 0.3986
Ni2 Ni 0.0000 0.5000 0.0000
```


4.
Structure and computed X-ray powder pattern of RbMg4H8 (a crystal structure in Alexandria, relaxed with GGA-PBE; Cu Kα (λ = 1.5418 Å)).
Lines closer than 0.1° are merged.

Most intense lines, 10 to 90 degrees two-theta, sorted by position:
two_theta, d (Å), I/Imax, index
17.04, 5.202, 39, 1 1 1
19.71, 4.505, 42, 2 0 0
28.01, 3.186, 37, 2 2 0
32.97, 2.717, 100, 3 1 1
34.48, 2.601, 29, 2 2 2
44.99, 2.015, 19, 4 2 0
49.56, 1.839, 14, 4 2 2
52.79, 1.734, 35, 5 1 1
57.89, 1.593, 22, 4 4 0
82.17, 1.173, 20, 5 5 3

Structure:
```
data_RbMg4H8
_cell_length_a 9.011
_cell_length_b 9.011
_cell_length_c 9.011
_cell_angle_alpha 90.00
_cell_angle_beta 90.00
_cell_angle_gamma 90.00
_symmetry_space_group_name_H-M 'F -4 3 m'
_symmetry_Int_Tables_number 216
_symmetry_space_group_name_Hall 'F -4 2 3'
loop_
_atom_site_label
_atom_site_type_symbol
_atom_site_fract_x
_atom_site_fract_y
_atom_site_fract_z
Rb1 Rb 0.000 0.000 0.000
Mg1 Mg 0.124 0.124 0.624
H1 H 0.102 0.102 0.398
H2 H 0.157 0.157 0.843
```


5.
Structure and computed X-ray powder pattern of NaAlSiO4 (a crystal structure in Alexandria, relaxed with GGA-PBE; Cu Kα (λ = 1.5418 Å)).
Lines closer than 0.1° are merged.

Most intense lines, 10 to 90 degrees two-theta, sorted by position:
two_theta, d (Å), I/Imax, index
21.15, 4.200, 100, 0 1 2
25.46, 3.498, 8, 2 0 3
30.76, 2.907, 10, 2 1 3
31.69, 2.823, 8, 1 1 4
34.32, 2.613, 23, 0 2 0
34.47, 2.602, 22, 4 0 0
35.12, 2.555, 17, 2 1 4
40.12, 2.248, 6, 2 1 5
51.57, 1.772, 6, 0 0 8
63.47, 1.466, 7, 0 2 8

Structure:
```
data_NaAlSiO4
_cell_length_a 10.407
_cell_length_b 5.226
_cell_length_c 14.175
_cell_angle_alpha 90.00
_cell_angle_beta 90.00
_cell_angle_gamma 90.00
_symmetry_space_group_name_H-M 'P c a 21'
_symmetry_Int_Tables_number 29
loop_
_symmetry_equiv_pos_as_xyz
'x,y,z'
'-x,-y,z+1/2'
'-x+1/2,y,z+1/2'
'x+1/2,-y,z'
loop_
_atom_site_label
_atom_site_type_symbol
_atom_site_fract_x
_atom_site_fract_y
_atom_site_fract_z
Na1 Na 0.024 0.047 0.000
Na2 Na 0.214 0.554 0.752
Al1 Al 0.026 0.942 0.250
Al2 Al 0.222 0.544 0.002
Si1 Si 0.029 0.444 0.377
Si2 Si 0.224 0.044 0.626
O1 O 0.002 0.853 0.848
O2 O 0.008 0.373 0.787
O3 O 0.060 0.486 0.969
O4 O 0.073 0.986 0.652
O5 O 0.181 0.486 0.403
O6 O 0.188 0.962 0.216
O7 O 0.236 0.870 0.034
O8 O 0.245 0.347 0.601
```


6.
Structure and computed X-ray powder pattern of LiAc3Tl3 (a crystal structure in Alexandria, relaxed with GGA-PBE; Cu Kα (λ = 1.5418 Å)).
Lines closer than 0.1° are merged.

Most intense lines, 10 to 90 degrees two-theta, sorted by position:
two_theta, d (Å), I/Imax, index
23.89, 3.725, 28, 1 1 2
27.92, 3.196, 100, 1 1 -4
28.53, 3.129, 44, 3 1 -1
29.54, 3.024, 50, 4 0 -2
32.09, 2.789, 35, 3 1 -4
34.58, 2.594, 37, 0 0 6
34.74, 2.582, 58, 3 1 2
35.86, 2.504, 45, 0 2 0
47.12, 1.929, 25, 4 2 -2
50.67, 1.802, 26, 0 2 6

Structure:
```
data_LiAc3Tl3
_cell_length_a 12.102
_cell_length_b 5.008
_cell_length_c 16.606
_cell_angle_alpha 90.00
_cell_angle_beta 110.39
_cell_angle_gamma 90.00
_symmetry_space_group_name_H-M 'C 1 2/m 1'
_symmetry_Int_Tables_number 12
loop_
_symmetry_equiv_pos_as_xyz
'x,y,z'
'-x,-y,-z'
'-x,y,-z'
'x,-y,z'
'x+1/2,y+1/2,z'
'-x+1/2,-y+1/2,-z'
'-x+1/2,y+1/2,-z'
'x+1/2,-y+1/2,z'
loop_
_atom_site_label
_atom_site_type_symbol
_atom_site_fract_x
_atom_site_fract_y
_atom_site_fract_z
Li1 Li 0.243 0.000 0.405
Ac1 Ac 0.036 0.500 0.386
Ac2 Ac 0.094 0.500 0.919
Ac3 Ac 0.245 0.500 0.228
Tl1 Tl 0.038 0.000 0.239
Tl2 Tl 0.122 0.000 0.075
Tl3 Tl 0.138 0.000 0.550
```


7.
Structure and computed X-ray powder pattern of Ac3Zn2Ir4 (a crystal structure in Alexandria, relaxed with GGA-PBE; Cu Kα (λ = 1.5418 Å)).
Lines closer than 0.1° are merged.

Most intense lines, 10 to 90 degrees two-theta, sorted by position:
two_theta, d (Å), I/Imax, index
10.12, 8.744, 15, 0 0 3
31.09, 2.876, 100, 1 0 6
40.93, 2.205, 50, 1 1 0
41.30, 2.186, 13, 0 0 12
52.28, 1.750, 24, 2 0 6
59.55, 1.552, 27, 1 1 12
68.45, 1.371, 23, 2 1 6
68.97, 1.362, 6, 1 0 18
74.54, 1.273, 9, 3 0 0
88.98, 1.100, 9, 3 0 12

Structure:
```
data_Ac3Zn2Ir4
_cell_length_a 4.4100
_cell_length_b 4.4100
_cell_length_c 26.2319
_cell_angle_alpha 90.00
_cell_angle_beta 90.00
_cell_angle_gamma 120.00
_symmetry_space_group_name_H-M 'P -6 m 2'
_symmetry_Int_Tables_number 187
_symmetry_space_group_name_Hall 'P -6 2'
loop_
_atom_site_label
_atom_site_type_symbol
_atom_site_fract_x
_atom_site_fract_y
_atom_site_fract_z
Ac1 Ac 0.0000 0.0000 0.0796
Ac2 Ac 0.0000 0.0000 0.2462
Ac3 Ac 0.0000 0.0000 0.4033
Zn1 Zn 0.3333 0.6667 0.5000
Zn2 Zn 0.6667 0.3333 0.1632
Zn3 Zn 0.6667 0.3333 0.5000
Ir1 Ir 0.3333 0.6667 0.0000
Ir2 Ir 0.3333 0.6667 0.1640
Ir3 Ir 0.3333 0.6667 0.3273
Ir4 Ir 0.6667 0.3333 0.0000
Ir5 Ir 0.6667 0.3333 0.3270
```


8.
Structure and computed X-ray powder pattern of MgSbOs (a crystal structure in Alexandria, relaxed with GGA-PBE; Cu Kα (λ = 1.5418 Å)).
Lines closer than 0.1° are merged.

Most intense lines, 10 to 90 degrees two-theta, sorted by position:
two_theta, d (Å), I/Imax, index
20.51, 4.330, 54, 0 0 2
25.66, 3.472, 34, 0 1 1
29.39, 3.039, 25, 1 0 1
36.45, 2.465, 100, 1 1 0
39.23, 2.296, 79, 0 1 3
41.88, 2.157, 66, 1 0 3
42.19, 2.142, 34, 1 1 2
48.02, 1.895, 23, 0 2 0
65.58, 1.423, 35, 1 2 3
71.15, 1.325, 27, 2 1 3

Structure:
```
data_MgSbOs
_cell_length_a 3.245
_cell_length_b 3.789
_cell_length_c 8.660
_cell_angle_alpha 90.00
_cell_angle_beta 90.00
_cell_angle_gamma 90.00
_symmetry_space_group_name_H-M 'I m m 2'
_symmetry_Int_Tables_number 44
loop_
_symmetry_equiv_pos_as_xyz
'x,y,z'
'-x,-y,z'
'-x,y,z'
'x,-y,z'
'x+1/2,y+1/2,z+1/2'
'-x+1/2,-y+1/2,z+1/2'
'-x+1/2,y+1/2,z+1/2'
'x+1/2,-y+1/2,z+1/2'
loop_
_atom_site_label
_atom_site_type_symbol
_atom_site_fract_x
_atom_site_fract_y
_atom_site_fract_z
Mg1 Mg 0.000 0.000 0.000
Sb1 Sb 0.000 0.000 0.318
Os1 Os 0.000 0.000 0.671
```


Question: Number 5 is which compound?
Answer: NaAlSiO4